The following is a calculated PXRD pattern of Mg6Si5. It was derived from a cell relaxed with PBE, using λ = 1.5418 Å (Cu Kα).

Structure:
Cell: 30.813 3.969 7.026 Å, 90.00 91.32 90.00°
Space group Cm (No. 8)
Symmetry-distinct sites (fractional):
Mg 0.000 0.000 0.000 x2
Mg 0.004 0.000 0.465 x2
Mg 0.052 0.500 0.735 x2
Mg 0.056 0.500 0.232 x2
Mg 0.115 0.000 0.565 x2
Mg 0.198 0.500 0.621 x2
Mg 0.236 0.500 0.118 x2
Mg 0.273 0.000 0.433 x2
Mg 0.307 0.500 0.743 x2
Mg 0.345 0.500 0.252 x2
Mg 0.437 0.000 0.242 x2
Mg 0.453 0.000 0.727 x2
Si 0.129 0.500 0.934 x2
Si 0.140 0.500 0.300 x2
Si 0.174 0.000 0.944 x2
Si 0.187 0.000 0.306 x2
Si 0.245 0.000 0.807 x2
Si 0.298 0.000 0.057 x2
Si 0.363 0.000 0.550 x2
Si 0.367 0.000 0.904 x2
Si 0.411 0.500 0.961 x2
Si 0.413 0.500 0.518 x2

The 10 most intense peaks (2θ from 10° to 80°), low angle first:
d_spacing  I/Imax
7.701  28
2.703  36
2.625  29
2.617  49
2.559  79
2.446  50
2.404  38
2.288  100
2.255  30
1.984  74

***

The following is a calculated PXRD pattern of Th11Ru12C18. It was derived from a cell relaxed with PBE, using λ = 1.5418 Å (Cu Kα).

Structure:
Cell: 10.831 10.831 10.831 Å, 90.00 90.00 90.00°
Space group I-43m (No. 217)
Symmetry-distinct sites (fractional):
Th 0.000 0.000 0.000 x2
Th 0.000 0.250 0.500 x12
Th 0.203 0.203 0.797 x8
Ru 0.085 0.085 0.283 x24
C 0.000 0.000 0.435 x12
C 0.049 0.263 0.263 x24

The 10 most intense peaks (2θ from 10° to 80°), low angle first:
d_spacing  I/Imax
3.127  66
2.895  100
2.708  36
2.553  55
2.309  24
1.915  19
1.858  17
1.757  47
1.474  32
1.313  17